For Ca6Zn5Pd, the PBE geometry in Alexandria gives the computed XRD peak list in this record (Cu Kα (weighted mean of Kα1 and Kα2)).

Crystal structure
```
data_Ca6Zn5Pd
_symmetry_space_group_name_H-M 'P 1 2/m 1'
_symmetry_Int_Tables_number 10
_cell_length_a 5.198
_cell_length_b 7.227
_cell_length_c 8.215
_cell_angle_alpha 90.00
_cell_angle_beta 108.53
_cell_angle_gamma 90.00
loop_
_symmetry_equiv_pos_as_xyz
'x,y,z'
'-x,-y,-z'
'-x,y,-z'
'x,-y,z'
loop_
_atom_site_label
_atom_site_type_symbol
_atom_site_fract_x
_atom_site_fract_y
_atom_site_fract_z
Ca1 Ca 0.000 0.244 0.000
Ca2 Ca 0.337 0.247 0.673
Zn1 Zn 0.166 0.500 0.334
Zn2 Zn 0.168 0.000 0.340
Zn3 Zn 0.500 0.500 0.000
Pd1 Pd 0.500 0.000 0.000
```

Principal peaks in the range 10° ≤ 2θ ≤ 80°, low angle first:
2theta  I/Imax  index
24.2  11  1 0 1
34.5  51  2 0 -1
34.8  100  1 2 1
42.9  5  0 2 3
49.6  17  2 0 2
50.5  8  0 4 0
62.0  25  3 2 0
62.1  8  1 2 4
62.6  16  2 4 -1
73.5  10  2 4 2